1.
Diffraction record for MgV2O4. The XRD peak list is theoretical, not measured: it uses a structure optimized by DFT (GGA+U) and copper Kα.
Intensities are scaled so that the largest is 100.

Structural model:
a b c (Å): 6.0601 6.0601 14.8395
angles (deg): 90.00 90.00 120.00
Positions (direct):
Mg (0.0000, 0.0000, 0.0000)
Mg (0.0000, 0.0000, 0.2430)
Mg (0.3333, 0.6667, 0.6613)
Mg (0.6667, 0.3333, 0.3285)
Mg (0.6667, 0.3333, 0.5778)
Mg (0.6667, 0.3333, 0.9563)
V (0.0000, 0.0000, 0.6189)
V (0.1673, 0.3345, 0.4525)
V (0.1673, 0.8327, 0.4525)
V (0.3314, 0.1657, 0.7869)
V (0.3333, 0.6667, 0.2858)
V (0.3333, 0.6667, 0.9111)
V (0.5018, 0.0037, 0.1200)
V (0.5018, 0.4982, 0.1200)
V (0.6655, 0.8327, 0.4525)
V (0.8343, 0.1657, 0.7869)
V (0.8343, 0.6686, 0.7869)
V (0.9963, 0.4982, 0.1200)
O (0.0000, 0.0000, 0.3796)
O (0.0000, 0.0000, 0.8604)
O (0.0285, 0.5142, 0.3730)
O (0.1524, 0.3049, 0.7065)
O (0.1524, 0.8476, 0.7065)
O (0.1807, 0.3613, 0.1998)
O (0.1807, 0.8193, 0.1998)
O (0.3066, 0.1533, 0.5338)
O (0.3333, 0.6667, 0.0419)
O (0.3333, 0.6667, 0.5259)
O (0.3582, 0.1791, 0.0444)
O (0.4858, 0.5142, 0.3730)
O (0.4858, 0.9715, 0.3730)
O (0.5092, 0.0185, 0.8658)
O (0.5092, 0.4908, 0.8658)
O (0.6387, 0.8193, 0.1998)
O (0.6667, 0.3333, 0.1950)
O (0.6667, 0.3333, 0.7147)
O (0.6951, 0.8476, 0.7065)
O (0.8209, 0.1791, 0.0444)
O (0.8209, 0.6418, 0.0444)
O (0.8467, 0.1533, 0.5338)
O (0.8467, 0.6934, 0.5338)
O (0.9815, 0.4908, 0.8658)

Top 12 peaks for 10 to 90 degrees two-theta, by angle:
| Position (°2θ) | I (rel.) | index |
| --- | --- | --- |
| 17.93 | 49 | 0 0 3 |
| 29.48 | 17 | 1 0 4 |
| 34.72 | 100 | 0 2 1 |
| 36.32 | 7 | 2 0 2 |
| 42.18 | 50 | 0 2 4 |
| 52.30 | 6 | 2 1 4 |
| 55.74 | 39 | 0 2 7 |
| 61.18 | 59 | 2 2 0 |
| 64.31 | 6 | 2 2 3 |
| 72.30 | 10 | 4 0 1 |
| 77.11 | 7 | 4 0 4 |
| 87.42 | 16 | 4 0 7 |



2.
Diffraction record for Na2CaMn3Si6O18. The XRD peak list is theoretical, not measured: it uses a structure optimized by DFT (GGA+U) and copper Kα.
Intensities are scaled so that the largest is 100.

Structural model:
a b c (Å): 6.6246 7.2050 7.5895
angles (deg): 79.15 85.98 89.28
Positions (direct):
Na (0.0000, 0.0000, 0.0000)
Na (0.2612, 0.4802, 0.1604)
Ca (0.4814, 0.1420, 0.4302)
Mn (0.5017, 0.6563, 0.4309)
Mn (0.7671, 0.8116, 0.7314)
Mn (0.7774, 0.3122, 0.7263)
Si (0.2732, 0.7635, 0.7848)
Si (0.2817, 0.3307, 0.8051)
Si (0.4839, 0.9910, 0.0311)
Si (0.7757, 0.4778, 0.1238)
Si (0.9682, 0.1427, 0.3667)
Si (0.9893, 0.7000, 0.3684)
O (0.0593, 0.2641, 0.7648)
O (0.0641, 0.8574, 0.7285)
O (0.1795, 0.2328, 0.3800)
O (0.2096, 0.6242, 0.4258)
O (0.2566, 0.5368, 0.8606)
O (0.3384, 0.8328, 0.9689)
O (0.3457, 0.1895, 0.9941)
O (0.4656, 0.8105, 0.6285)
O (0.4815, 0.3398, 0.6595)
O (0.5191, 0.9254, 0.2418)
O (0.5701, 0.4889, 0.2564)
O (0.6867, 0.0219, 0.8944)
O (0.7468, 0.5132, 0.9063)
O (0.7939, 0.6287, 0.5144)
O (0.7992, 0.1407, 0.5373)
O (0.8623, 0.2606, 0.1822)
O (0.9409, 0.6297, 0.1756)
O (0.9835, 0.9304, 0.3137)

Top 12 peaks for 10 to 90 degrees two-theta, by angle:
| Position (°2θ) | I (rel.) | index |
| --- | --- | --- |
| 28.34 | 25 | 1 0 -2 |
| 28.80 | 33 | 2 0 1 |
| 29.85 | 26 | 2 1 0 |
| 29.94 | 100 | 0 2 -1 |
| 30.35 | 36 | 2 0 -1 |
| 31.46 | 70 | 0 2 2 |
| 36.24 | 17 | 0 0 3 |
| 38.27 | 19 | -2 2 1 |
| 41.31 | 18 | 1 2 -2 |
| 41.97 | 19 | 3 0 1 |
| 50.75 | 30 | 0 4 1 |
| 65.29 | 21 | 4 2 -1 |



3.
Diffraction record for Ba2SnWO6. The XRD peak list is theoretical, not measured: it uses a structure optimized by DFT (GGA+U) and copper Kα.
Intensities are scaled so that the largest is 100.

Structural model:
a b c (Å): 8.7153 8.7153 8.7153
angles (deg): 90.00 90.00 90.00
Positions (direct):
Ba (0.2500, 0.2500, 0.2500)
Ba (0.2500, 0.2500, 0.7500)
Ba (0.2500, 0.7500, 0.2500)
Ba (0.2500, 0.7500, 0.7500)
Ba (0.7500, 0.2500, 0.2500)
Ba (0.7500, 0.2500, 0.7500)
Ba (0.7500, 0.7500, 0.2500)
Ba (0.7500, 0.7500, 0.7500)
Sn (0.0000, 0.0000, 0.0000)
Sn (0.0000, 0.5000, 0.5000)
Sn (0.5000, 0.0000, 0.5000)
Sn (0.5000, 0.5000, 0.0000)
W (0.0000, 0.0000, 0.5000)
W (0.0000, 0.5000, 0.0000)
W (0.5000, 0.0000, 0.0000)
W (0.5000, 0.5000, 0.5000)
O (0.0259, 0.5295, 0.7780)
O (0.0259, 0.9705, 0.7220)
O (0.0295, 0.2220, 0.5259)
O (0.0295, 0.2780, 0.9741)
O (0.2220, 0.5259, 0.0295)
O (0.2220, 0.9741, 0.4705)
O (0.2780, 0.5259, 0.4705)
O (0.2780, 0.9741, 0.0295)
O (0.4705, 0.2220, 0.9741)
O (0.4705, 0.2780, 0.5259)
O (0.4741, 0.5295, 0.7220)
O (0.4741, 0.9705, 0.7780)
O (0.5259, 0.0295, 0.2220)
O (0.5259, 0.4705, 0.2780)
O (0.5295, 0.7220, 0.4741)
O (0.5295, 0.7780, 0.0259)
O (0.7220, 0.0259, 0.9705)
O (0.7220, 0.4741, 0.5295)
O (0.7780, 0.0259, 0.5295)
O (0.7780, 0.4741, 0.9705)
O (0.9705, 0.7220, 0.0259)
O (0.9705, 0.7780, 0.4741)
O (0.9741, 0.0295, 0.2780)
O (0.9741, 0.4705, 0.2220)

Top 12 peaks for 10 to 90 degrees two-theta, by angle:
| Position (°2θ) | I (rel.) | index |
| --- | --- | --- |
| 17.63 | 5 | 1 1 1 |
| 20.38 | 2 | 2 0 0 |
| 28.98 | 100 | 2 2 0 |
| 34.12 | 1 | 3 1 1 |
| 41.44 | 27 | 4 0 0 |
| 46.60 | 1 | 4 2 0 |
| 51.36 | 43 | 4 2 2 |
| 54.73 | 1 | 5 1 1 |
| 60.05 | 17 | 4 4 0 |
| 68.03 | 19 | 6 2 0 |
| 75.59 | 6 | 4 4 4 |
| 82.90 | 23 | 6 2 4 |